No. 1
Simulated X-ray powder pattern of Na5H7Se4O18 for Cu Kα (weighted mean of Kα1 and Kα2), from a DFT-relaxed cell (GGA-PBE, the Materials Project).
Lines closer than 0.1° are merged.

Atomic structure:
abc: 6.249 7.497 11.208
angles: 98.31 96.41 97.66
Element x y z (fractional)
Na (0.000, 0.000, 0.000)
Na (0.084, 0.226, 0.355)
Na (0.193, 0.354, 0.774)
Na (0.572, 0.435, 0.173)
Na (0.735, 0.946, 0.631)
H (0.044, 0.828, 0.301)
H (0.159, 0.559, 0.455)
H (0.251, 0.522, 0.488)
H (0.483, 0.006, 0.789)
H (0.661, 0.507, 0.920)
H (0.859, 0.236, 0.919)
H (0.964, 0.884, 0.276)
Se (0.046, 0.534, 0.071)
Se (0.157, 0.794, 0.726)
Se (0.529, 0.964, 0.188)
Se (0.658, 0.394, 0.606)
O (0.028, 0.964, 0.790)
O (0.061, 0.337, 0.971)
O (0.223, 0.678, 0.838)
O (0.314, 0.059, 0.142)
O (0.403, 0.296, 0.601)
O (0.416, 0.932, 0.709)
O (0.497, 0.343, 0.356)
O (0.506, 0.743, 0.134)
O (0.525, 0.417, 0.903)
O (0.533, 0.995, 0.369)
O (0.581, 0.270, 0.968)
O (0.690, 0.390, 0.429)
O (0.699, 0.157, 0.896)
O (0.709, 0.610, 0.673)
O (0.736, 0.035, 0.430)
O (0.766, 0.080, 0.169)
O (0.847, 0.277, 0.657)
O (0.965, 0.471, 0.200)

Most intense lines, 10° ≤ 2θ ≤ 90°, in order of rising 2θ:
| 2θ/deg | I_rel |
| --- | --- |
| 15.6 | 64.3 |
| 16.1 | 98.2 |
| 17.4 | 100.0 |
| 18.5 | 82.3 |
| 19.2 | 71.6 |
| 23.2 | 66.4 |
| 24.3 | 76.3 |
| 26.6 | 71.6 |
| 29.1 | 69.5 |
| 30.0 | 75.4 |

=====

No. 2
Simulated X-ray powder pattern of Na5H7Se4O18 for Cu Kα (weighted mean of Kα1 and Kα2), from a DFT-relaxed cell (GGA-PBE, the Materials Project).
Lines closer than 0.1° are merged.

Atomic structure:
abc: 6.121 7.379 10.099
angles: 102.19 99.61 100.75
Element x y z (fractional)
Na (0.000, 0.000, 0.000)
Na (0.134, 0.171, 0.396)
Na (0.354, 0.256, 0.805)
Na (0.646, 0.744, 0.195)
Na (0.866, 0.829, 0.604)
H (0.024, 0.660, 0.096)
H (0.160, 0.401, 0.045)
H (0.272, 0.557, 0.619)
H (0.500, 0.000, 0.500)
H (0.728, 0.443, 0.381)
H (0.840, 0.599, 0.955)
H (0.976, 0.340, 0.904)
Se (0.246, 0.691, 0.373)
Se (0.412, 0.797, 0.824)
Se (0.588, 0.203, 0.176)
Se (0.754, 0.309, 0.627)
O (0.054, 0.820, 0.397)
O (0.108, 0.305, 0.956)
O (0.222, 0.917, 0.773)
O (0.223, 0.515, 0.453)
O (0.250, 0.611, 0.207)
O (0.303, 0.559, 0.722)
O (0.333, 0.124, 0.206)
O (0.415, 0.771, 0.981)
O (0.487, 0.160, 0.556)
O (0.513, 0.840, 0.444)
O (0.585, 0.229, 0.019)
O (0.667, 0.876, 0.794)
O (0.697, 0.441, 0.278)
O (0.750, 0.389, 0.793)
O (0.777, 0.485, 0.547)
O (0.778, 0.083, 0.227)
O (0.892, 0.695, 0.044)
O (0.946, 0.180, 0.603)

Most intense lines, 10° ≤ 2θ ≤ 90°, in order of rising 2θ:
| 2θ/deg | I_rel |
| --- | --- |
| 17.3 | 80.5 |
| 19.6 | 72.4 |
| 21.1 | 58.1 |
| 25.4 | 84.4 |
| 26.3 | 100.0 |
| 26.4 | 40.2 |
| 28.7 | 79.2 |
| 29.8 | 50.5 |
| 30.2 | 39.3 |
| 30.5 | 62.1 |

=====

No. 3
Simulated X-ray powder pattern of NaHSeO3 for Cu Kα (weighted mean of Kα1 and Kα2), from a DFT-relaxed cell (GGA-PBE, the Materials Project).
Lines closer than 0.1° are merged.

Atomic structure:
abc: 11.598 11.598 10.510
angles: 105.02 105.02 29.60
Element x y z (fractional)
Na (0.019, 0.588, 0.281)
Na (0.120, 0.630, 0.670)
Na (0.370, 0.880, 0.830)
Na (0.412, 0.981, 0.219)
Na (0.588, 0.019, 0.781)
Na (0.630, 0.120, 0.170)
Na (0.880, 0.370, 0.330)
Na (0.981, 0.412, 0.719)
H (0.170, 0.815, 0.598)
H (0.185, 0.830, 0.902)
H (0.244, 0.272, 0.980)
H (0.272, 0.244, 0.480)
H (0.728, 0.756, 0.520)
H (0.756, 0.728, 0.020)
H (0.815, 0.170, 0.098)
H (0.830, 0.185, 0.402)
Se (0.105, 0.581, 0.967)
Se (0.220, 0.703, 0.374)
Se (0.297, 0.780, 0.126)
Se (0.419, 0.895, 0.533)
Se (0.581, 0.105, 0.467)
Se (0.703, 0.220, 0.874)
Se (0.780, 0.297, 0.626)
Se (0.895, 0.419, 0.033)
O (0.003, 0.391, 0.190)
O (0.041, 0.072, 0.165)
O (0.072, 0.041, 0.665)
O (0.110, 0.262, 0.940)
O (0.220, 0.690, 0.546)
O (0.262, 0.110, 0.440)
O (0.278, 0.330, 0.492)
O (0.306, 0.490, 0.303)
O (0.310, 0.780, 0.954)
O (0.330, 0.278, 0.992)
O (0.391, 0.003, 0.690)
O (0.490, 0.306, 0.803)
O (0.510, 0.694, 0.197)
O (0.609, 0.997, 0.310)
O (0.670, 0.722, 0.008)
O (0.690, 0.220, 0.046)
O (0.694, 0.510, 0.697)
O (0.722, 0.670, 0.508)
O (0.738, 0.890, 0.560)
O (0.780, 0.310, 0.454)
O (0.890, 0.738, 0.060)
O (0.928, 0.959, 0.335)
O (0.959, 0.928, 0.835)
O (0.997, 0.609, 0.810)

Most intense lines, 10° ≤ 2θ ≤ 90°, in order of rising 2θ:
| 2θ/deg | I_rel |
| --- | --- |
| 17.3 | 70.6 |
| 21.3 | 25.3 |
| 22.6 | 60.6 |
| 24.7 | 21.1 |
| 25.1 | 46.3 |
| 26.2 | 60.4 |
| 28.8 | 84.9 |
| 29.8 | 23.7 |
| 30.1 | 100.0 |
| 34.9 | 18.0 |

=====

No. 4
Simulated X-ray powder pattern of Na5H7Se4O18 for Cu Kα (weighted mean of Kα1 and Kα2), from a DFT-relaxed cell (GGA-PBE, the Materials Project).
Lines closer than 0.1° are merged.

Atomic structure:
abc: 6.200 7.254 10.277
angles: 99.14 96.71 99.92
Element x y z (fractional)
Na (0.000, 0.000, 0.000)
Na (0.075, 0.165, 0.399)
Na (0.343, 0.299, 0.843)
Na (0.583, 0.734, 0.178)
Na (0.881, 0.837, 0.640)
H (0.119, 0.402, 0.073)
H (0.461, 0.936, 0.403)
H (0.479, 0.070, 0.636)
H (0.679, 0.446, 0.402)
H (0.825, 0.628, 0.963)
H (0.945, 0.350, 0.941)
H (0.994, 0.674, 0.097)
Se (0.189, 0.672, 0.371)
Se (0.383, 0.804, 0.834)
Se (0.559, 0.221, 0.200)
Se (0.743, 0.335, 0.650)
O (0.029, 0.826, 0.412)
O (0.074, 0.313, 0.988)
O (0.175, 0.494, 0.450)
O (0.193, 0.614, 0.208)
O (0.208, 0.947, 0.788)
O (0.287, 0.581, 0.757)
O (0.311, 0.132, 0.234)
O (0.391, 0.820, 0.999)
O (0.468, 0.810, 0.426)
O (0.470, 0.186, 0.598)
O (0.564, 0.284, 0.054)
O (0.632, 0.894, 0.795)
O (0.655, 0.449, 0.303)
O (0.728, 0.505, 0.562)
O (0.739, 0.087, 0.242)
O (0.749, 0.407, 0.811)
O (0.866, 0.713, 0.050)
O (0.912, 0.191, 0.607)

Most intense lines, 10° ≤ 2θ ≤ 90°, in order of rising 2θ:
| 2θ/deg | I_rel |
| --- | --- |
| 17.4 | 51.1 |
| 19.8 | 34.7 |
| 21.2 | 64.2 |
| 24.7 | 100.0 |
| 25.0 | 30.1 |
| 25.3 | 53.5 |
| 28.4 | 27.7 |
| 28.5 | 48.3 |
| 29.6 | 43.8 |
| 30.8 | 41.4 |

=====

No. 5
Simulated X-ray powder pattern of Na5H7Se4O18 for Cu Kα (weighted mean of Kα1 and Kα2), from a DFT-relaxed cell (GGA-PBE, the Materials Project).
Lines closer than 0.1° are merged.

Atomic structure:
abc: 6.070 7.467 10.040
angles: 102.68 99.20 100.01
Element x y z (fractional)
Na (0.000, 0.000, 0.000)
Na (0.131, 0.178, 0.394)
Na (0.267, 0.354, 0.794)
Na (0.477, 0.435, 0.201)
Na (0.786, 0.918, 0.584)
H (0.084, 0.501, 0.311)
H (0.181, 0.855, 0.474)
H (0.277, 0.566, 0.449)
H (0.419, 0.738, 0.016)
H (0.632, 0.162, 0.893)
H (0.844, 0.615, 0.776)
H (0.985, 0.787, 0.338)
Se (0.380, 0.870, 0.769)
Se (0.545, 0.976, 0.220)
Se (0.718, 0.379, 0.570)
Se (0.879, 0.484, 0.022)
O (0.037, 0.881, 0.428)
O (0.077, 0.357, 0.997)
O (0.187, 0.001, 0.795)
O (0.225, 0.473, 0.359)
O (0.351, 0.093, 0.169)
O (0.363, 0.697, 0.848)
O (0.391, 0.794, 0.602)
O (0.444, 0.740, 0.119)
O (0.463, 0.303, 0.601)
O (0.545, 0.951, 0.378)
O (0.617, 0.337, 0.953)
O (0.648, 0.017, 0.843)
O (0.717, 0.405, 0.412)
O (0.800, 0.053, 0.190)
O (0.820, 0.614, 0.673)
O (0.880, 0.567, 0.190)
O (0.900, 0.657, 0.941)
O (0.911, 0.261, 0.621)

Most intense lines, 10° ≤ 2θ ≤ 90°, in order of rising 2θ:
| 2θ/deg | I_rel |
| --- | --- |
| 15.1 | 24.5 |
| 17.4 | 55.9 |
| 19.5 | 45.2 |
| 20.9 | 42.9 |
| 24.9 | 28.0 |
| 25.0 | 46.4 |
| 26.4 | 100.0 |
| 28.9 | 76.1 |
| 30.0 | 40.0 |
| 30.4 | 69.7 |

=====

No. 6
Simulated X-ray powder pattern of Na4H6Se2O11 for Cu Kα (weighted mean of Kα1 and Kα2), from a DFT-relaxed cell (GGA-PBE, the Materials Project).
Lines closer than 0.1° are merged.

Atomic structure:
abc: 18.298 5.584 18.493
angles: 79.30 17.45 83.25
Element x y z (fractional)
Na (0.051, 0.540, 0.640)
Na (0.205, 0.795, 0.290)
Na (0.481, 0.610, 0.710)
Na (0.540, 0.051, 0.769)
Na (0.540, 0.960, 0.455)
Na (0.610, 0.481, 0.199)
Na (0.795, 0.205, 0.710)
Na (0.960, 0.540, 0.045)
H (0.212, 0.759, 0.617)
H (0.355, 0.934, 0.412)
H (0.432, 0.438, 0.610)
H (0.438, 0.432, 0.520)
H (0.633, 0.837, 0.038)
H (0.640, 0.730, 0.818)
H (0.730, 0.640, 0.812)
H (0.759, 0.212, 0.413)
H (0.837, 0.633, 0.491)
H (0.838, 0.951, 0.895)
H (0.934, 0.355, 0.299)
H (0.951, 0.838, 0.316)
Se (0.017, 0.114, 0.860)
Se (0.114, 0.017, 0.009)
Se (0.241, 0.390, 0.136)
Se (0.390, 0.241, 0.233)
O (0.185, 0.390, 0.381)
O (0.205, 0.869, 0.860)
O (0.218, 0.899, 0.992)
O (0.230, 0.325, 0.875)
O (0.258, 0.359, 0.032)
O (0.324, 0.760, 0.469)
O (0.325, 0.230, 0.570)
O (0.342, 0.941, 0.271)
O (0.359, 0.258, 0.351)
O (0.375, 0.680, 0.020)
O (0.390, 0.185, 0.045)
O (0.524, 0.524, 0.476)
O (0.680, 0.375, 0.925)
O (0.760, 0.324, 0.447)
O (0.774, 0.774, 0.726)
O (0.781, 0.803, 0.926)
O (0.803, 0.781, 0.490)
O (0.803, 0.979, 0.309)
O (0.869, 0.205, 0.065)
O (0.899, 0.218, 0.891)
O (0.941, 0.342, 0.447)
O (0.979, 0.803, 0.908)

Most intense lines, 10° ≤ 2θ ≤ 90°, in order of rising 2θ:
| 2θ/deg | I_rel |
| --- | --- |
| 16.5 | 100.0 |
| 23.8 | 58.0 |
| 25.2 | 29.6 |
| 27.7 | 50.2 |
| 29.8 | 42.1 |
| 32.0 | 27.6 |
| 33.0 | 34.9 |
| 33.4 | 27.9 |
| 35.6 | 25.9 |
| 52.9 | 30.6 |